No. 1
This entry pairs a crystal structure of KPdSe with its computed powder diffraction line list. Radiation: Cu Kα, 1.54184 Å. Structure: a cell relaxed with PBE.
Kinematic intensities with the Lorentz-polarization factor, no thermal factor.

Principal peaks in the range 2θ = 10–80°, sorted by position:
2θ (°)	intensity	hkl
16.46	100	1 0 0
17.62	37	0 1 1
17.93	23	1 1 -1
19.96	25	1 1 0
26.37	17	0 2 1
29.22	35	1 1 1
29.81	19	2 1 -1
30.36	17	2 1 -2
35.22	22	2 1 0
35.35	22	1 2 1
36.15	24	1 1 -3
48.85	22	3 2 -3

Atomic structure:
```
data_KPdSe
_chemical_formula_sum 'K4 Pd4 Se4'
_cell_length_a 6.6205
_cell_length_b 7.8955
_cell_length_c 8.0373
_cell_angle_alpha 90.00
_cell_angle_beta 125.59
_cell_angle_gamma 90.00
_space_group_name_H-M_alt 'P 1'
_space_group_IT_number 1
_space_group_name_Hall 'P 1'
loop_
_atom_site_label
_atom_site_type_symbol
_atom_site_fract_x
_atom_site_fract_y
_atom_site_fract_z
K1 K 0.1620 0.0644 0.3423
K2 K 0.1620 0.4356 0.8423
K3 K 0.8380 0.5644 0.1577
K4 K 0.8380 0.9356 0.6577
Pd1 Pd 0.4639 0.6104 0.3609
Pd2 Pd 0.4639 0.8896 0.8609
Pd3 Pd 0.5361 0.1104 0.1391
Pd4 Pd 0.5361 0.3896 0.6391
Se1 Se 0.3528 0.6735 0.6046
Se2 Se 0.3528 0.8265 0.1046
Se3 Se 0.6472 0.1735 0.8954
Se4 Se 0.6472 0.3265 0.3954
```

***

No. 2
This entry pairs a crystal structure of NaBiPbSe3 with its computed powder diffraction line list. Radiation: Cu Kα, 1.54184 Å. Structure: a cell relaxed with PBE.
Kinematic intensities with the Lorentz-polarization factor, no thermal factor.

Principal peaks in the range 2θ = 10–80°, sorted by position:
2θ (°)	intensity	hkl
12.57	20	1 0 -1
15.35	57	0 0 2
23.07	46	0 0 3
24.05	33	2 0 1
26.67	51	0 1 2
31.32	100	2 1 -1
32.59	24	2 1 1
32.87	19	1 1 -3
33.89	25	2 0 3
35.91	19	2 1 2
38.13	34	0 1 4
44.17	25	0 2 0

Atomic structure:
```
data_NaBiPbSe3
_chemical_formula_sum 'Na2 Bi2 Pb2 Se6'
_cell_length_a 8.1829
_cell_length_b 4.1012
_cell_length_c 11.6239
_cell_angle_alpha 90.00
_cell_angle_beta 96.67
_cell_angle_gamma 90.00
_space_group_name_H-M_alt 'P 1'
_space_group_IT_number 1
_space_group_name_Hall 'P 1'
loop_
_atom_site_label
_atom_site_type_symbol
_atom_site_fract_x
_atom_site_fract_y
_atom_site_fract_z
Na1 Na 0.1826 0.2500 0.4761
Na2 Na 0.8174 0.7500 0.5239
Bi1 Bi 0.4724 0.7500 0.1626
Bi2 Bi 0.5276 0.2500 0.8374
Pb1 Pb 0.0479 0.2500 0.8015
Pb2 Pb 0.9521 0.7500 0.1985
Se1 Se 0.1636 0.7500 0.6499
Se2 Se 0.2657 0.2500 0.2408
Se3 Se 0.3061 0.7500 0.9435
Se4 Se 0.6939 0.2500 0.0565
Se5 Se 0.7343 0.7500 0.7592
Se6 Se 0.8364 0.2500 0.3501
```